Theoretical powder diffraction line list of Na5Hg2Pb2 for Cu Kα, from DFT lattice parameters and positions (GGA-PBE).

Atomic structure:
```
data_Na5Hg2Pb2
_space_group_name_H-M_alt 'P 1'
_space_group_IT_number 1
_space_group_name_Hall 'P 1'
_cell_length_a 9.6657
_cell_length_b 9.6657
_cell_length_c 7.7782
_cell_angle_alpha 90.00
_cell_angle_beta 90.00
_cell_angle_gamma 48.18
loop_
_atom_site_label
_atom_site_type_symbol
_atom_site_fract_x
_atom_site_fract_y
_atom_site_fract_z
Na1 Na 0.0000 0.0000 0.0000
Na2 Na 0.0754 0.6465 0.7138
Na3 Na 0.1465 0.5754 0.2138
Na4 Na 0.3535 0.9246 0.7138
Na5 Na 0.4246 0.8535 0.2138
Na6 Na 0.5000 0.5000 0.5000
Na7 Na 0.5754 0.1465 0.7862
Na8 Na 0.6465 0.0754 0.2862
Na9 Na 0.8535 0.4246 0.7862
Na10 Na 0.9246 0.3535 0.2862
Hg1 Hg 0.1308 0.8692 0.3751
Hg2 Hg 0.3692 0.6308 0.8751
Hg3 Hg 0.6308 0.3692 0.1249
Hg4 Hg 0.8692 0.1308 0.6249
Pb1 Pb 0.2425 0.2425 0.0000
Pb2 Pb 0.2575 0.2575 0.5000
Pb3 Pb 0.7425 0.7425 0.5000
Pb4 Pb 0.7575 0.7575 0.0000
```

Most intense lines, 10 to 90 degrees two-theta, sorted by position:
- 20.13°, I = 100
- 24.72°, I = 36
- 29.78°, I = 32
- 30.39°, I = 33
- 30.64°, I = 35
- 33.92°, I = 33